# 1
The following is a theoretical X-ray powder pattern of TlCdN3. It was derived from DFT lattice parameters and positions (GGA-PBE), using Cu Kα.

Main lines, sorted by position (15 to 90 degrees two-theta):
2theta, I_rel
19.85, 57
28.22, 1000
34.74, 67
40.33, 267
45.34, 34
49.95, 424
58.36, 173
66.06, 184
73.33, 57
80.33, 215

Crystal structure
a = 4.472 Å, b = 4.472 Å, c = 4.472 Å
α = 90.00°, β = 90.00°, γ = 90.00°
Space group Pm-3m (No. 221)
Symmetry-distinct sites (fractional):
Tl: 0.000 0.000 0.000 x1
Cd: 0.500 0.500 0.500 x1
N: 0.000 0.500 0.500 x3



# 2
The following is a theoretical X-ray powder pattern of Cr4Se3N2. It was derived from DFT lattice parameters and positions (GGA-PBE), using Cu Kα.

Main lines, sorted by position (15 to 90 degrees two-theta):
2theta, I_rel
24.58, 490
27.42, 243
28.29, 218
32.96, 1000
33.65, 236
36.45, 914
42.27, 405
43.82, 680
43.95, 482
54.55, 301

Crystal structure
a = 6.501 Å, b = 13.081 Å, c = 3.365 Å
α = 90.00°, β = 90.00°, γ = 90.00°
Space group Pnnm (No. 58)
Symmetry-distinct sites (fractional):
Cr: 0.185 0.064 0.000 x4
Cr: 0.202 0.858 0.500 x4
Se: 0.000 0.500 0.000 x2
Se: 0.156 0.218 0.500 x4
N: 0.116 0.921 0.000 x4



# 3
The following is a theoretical X-ray powder pattern of Ga8Cu3Mo2. It was derived from DFT lattice parameters and positions (GGA-PBE), using Cu Kα.

Main lines, sorted by position (15 to 90 degrees two-theta):
2theta, I_rel
18.09, 127
20.91, 130
27.78, 67
29.74, 59
38.20, 81
41.15, 90
42.57, 1000
43.94, 98
61.77, 126
77.91, 211

Crystal structure
a = 12.015 Å, b = 12.015 Å, c = 12.015 Å
α = 90.00°, β = 90.00°, γ = 90.00°
Space group I-43d (No. 220)
Symmetry-distinct sites (fractional):
Ga: 0.107 0.393 0.607 x16
Ga: 0.114 0.379 0.879 x48
Cu: 0.000 0.250 0.014 x24
Mo: 0.020 0.020 0.020 x16



# 4
The following is a theoretical X-ray powder pattern of S8O. It was derived from DFT lattice parameters and positions (GGA-PBE), using Cu Kα.

Main lines, sorted by position (15 to 90 degrees two-theta):
2theta, I_rel
15.81, 654
16.09, 205
20.36, 1000
20.82, 275
21.45, 699
26.42, 404
27.10, 364
29.74, 230
31.93, 263
34.20, 245

Crystal structure
a = 14.212 Å, b = 8.533 Å, c = 8.724 Å
α = 90.00°, β = 90.00°, γ = 90.00°
Space group Pca2_1 (No. 29)
Symmetry-distinct sites (fractional):
S: 0.024 0.014 0.361 x4
S: 0.028 0.510 0.863 x4
S: 0.083 0.640 0.419 x4
S: 0.085 0.821 0.264 x4
S: 0.117 0.973 0.792 x4
S: 0.138 0.467 0.000 x4
S: 0.199 0.068 0.953 x4
S: 0.231 0.309 0.858 x4
O: 0.191 0.310 0.701 x4



# 5
The following is a theoretical X-ray powder pattern of PrS3. It was derived from DFT lattice parameters and positions (GGA-PBE), using Cu Kα.

Main lines, sorted by position (15 to 90 degrees two-theta):
2theta, I_rel
17.69, 328
23.65, 689
30.90, 272
31.44, 427
35.82, 218
39.28, 1000
44.66, 205
50.79, 247
61.29, 257
73.41, 196

Crystal structure
a = 5.7886 Å, b = 5.7886 Å, c = 5.6899 Å
α = 90.00°, β = 90.00°, γ = 120.00°
Space group P6_3/mmc (No. 194)
Symmetry-distinct sites (fractional):
Pr: 0.3333 0.6667 0.2500 x2
S: 0.1768 0.3536 0.7500 x6